# 1
For LiGa4W2O12, a DFT-relaxed cell (PBE+U, the Materials Project) gives the simulated powder diffractogram in this record (λ = 1.5418 Å (Cu Kα)).
Peak positions follow from Bragg's law for the DFT cell and can differ from measured ones.

Crystal structure
Cell lengths 9.2409, 4.7133, 4.7133 Å; angles 88.52, 90.00, 90.00 degrees
Sites, in units of the cell vectors:
Li  0.0000  0.0000  0.0000
Ga  0.1798  0.2151  0.2151
Ga  0.3373  0.6989  0.6989
Ga  0.6627  0.6989  0.6989
Ga  0.8202  0.2151  0.2151
W  0.0000  0.6631  0.6631
W  0.5000  0.1939  0.1939
O  0.0000  0.3833  0.9914
O  0.0000  0.9914  0.3833
O  0.1661  0.8710  0.8710
O  0.1741  0.4931  0.4931
O  0.3422  0.3836  0.9938
O  0.3422  0.9938  0.3836
O  0.5000  0.4869  0.4869
O  0.5000  0.8940  0.8940
O  0.6578  0.3836  0.9938
O  0.6578  0.9938  0.3836
O  0.8259  0.4931  0.4931
O  0.8339  0.8710  0.8710

Main lines, sorted by position (2θ = 10–90°):
| Position (°2θ) | d (Å) | I_rel |
| --- | --- | --- |
| 21.2 | 4.198 | 52.3 |
| 26.4 | 3.376 | 67.0 |
| 27.1 | 3.290 | 68.0 |
| 34.8 | 2.578 | 100.0 |
| 52.2 | 1.752 | 41.0 |
| 53.0 | 1.727 | 42.6 |

***

# 2
For Li2Mn3P4O16, a DFT-relaxed cell (PBE+U, the Materials Project) gives the simulated powder diffractogram in this record (λ = 1.5418 Å (Cu Kα)).
Peak positions follow from Bragg's law for the DFT cell and can differ from measured ones.

Crystal structure
Cell lengths 7.6447, 7.7048, 10.9637 Å; angles 105.77, 105.69, 101.81 degrees
Sites, in units of the cell vectors:
Li  0.0000  0.0000  0.0000
Li  0.0477  0.2608  0.7843
Li  0.2907  0.7308  0.5273
Li  0.5509  0.7544  0.7845
Mn  0.0099  0.2210  0.3059
Mn  0.0212  0.7327  0.7370
Mn  0.4758  0.1835  0.2348
Mn  0.5160  0.7243  0.3012
Mn  0.5230  0.2281  0.7402
Mn  0.9660  0.6752  0.2303
P  0.1581  0.3676  0.1150
P  0.2299  0.4310  0.6130
P  0.3038  0.0147  0.4201
P  0.3913  0.1003  0.9148
P  0.6545  0.8637  0.1116
P  0.7231  0.9353  0.6090
P  0.8028  0.5133  0.4212
P  0.8886  0.5968  0.9125
O  0.0237  0.4316  0.1931
O  0.0289  0.5476  0.8381
O  0.0516  0.2539  0.9674
O  0.0768  0.2851  0.6208
O  0.0970  0.0070  0.3457
O  0.2034  0.4148  0.4615
O  0.2163  0.9390  0.8964
O  0.2176  0.2224  0.1863
O  0.2340  0.6460  0.6778
O  0.2986  0.8041  0.3538
O  0.3268  0.5350  0.1395
O  0.3387  0.0433  0.5713
O  0.3399  0.2418  0.8422
O  0.4400  0.4310  0.6799
O  0.4535  0.1599  0.4008
O  0.4956  0.2037  0.0681
O  0.5223  0.9314  0.1907
O  0.5300  0.0388  0.8417
O  0.5526  0.7642  0.9634
O  0.5651  0.7857  0.6136
O  0.5969  0.5105  0.3472
O  0.7045  0.9108  0.4590
O  0.7202  0.7299  0.1897
O  0.7244  0.4288  0.8927
O  0.7261  0.1437  0.6814
O  0.7935  0.3060  0.3457
O  0.8305  0.0311  0.1369
O  0.8359  0.7508  0.8520
O  0.8409  0.5492  0.5720
O  0.9301  0.9327  0.6834
O  0.9576  0.6588  0.4026
O  0.9950  0.7020  0.0665

Main lines, sorted by position (2θ = 10–90°):
| Position (°2θ) | d (Å) | I_rel |
| --- | --- | --- |
| 17.9 | 4.949 | 49.0 |
| 20.3 | 4.369 | 78.0 |
| 20.5 | 4.326 | 80.3 |
| 23.4 | 3.807 | 54.2 |
| 30.0 | 2.979 | 100.0 |
| 36.4 | 2.467 | 59.5 |

***

# 3
For Li2MnSiO4, a DFT-relaxed cell (PBE+U, the Materials Project) gives the simulated powder diffractogram in this record (λ = 1.5418 Å (Cu Kα)).
Peak positions follow from Bragg's law for the DFT cell and can differ from measured ones.

Crystal structure
Cell lengths 11.0201, 5.1399, 6.3652 Å; angles 90.00, 90.00, 90.00 degrees
Sites, in units of the cell vectors:
Li  0.0730  0.2030  0.0000
Li  0.1586  0.8108  0.2498
Li  0.3414  0.3108  0.7498
Li  0.4270  0.7030  0.5000
Li  0.5730  0.2970  0.0000
Li  0.6586  0.6892  0.2498
Li  0.8414  0.1892  0.7498
Li  0.9270  0.7970  0.5000
Mn  0.1674  0.8054  0.7461
Mn  0.3326  0.3054  0.2461
Mn  0.6674  0.6946  0.7461
Mn  0.8326  0.1946  0.2461
Si  0.0860  0.3102  0.4987
Si  0.4140  0.8102  0.9987
Si  0.5860  0.1898  0.4987
Si  0.9140  0.6898  0.9987
O  0.0535  0.8041  0.0040
O  0.0853  0.6323  0.4914
O  0.1543  0.2001  0.2843
O  0.1621  0.2166  0.7114
O  0.3379  0.7166  0.2114
O  0.3457  0.7001  0.7843
O  0.4147  0.1323  0.9914
O  0.4465  0.3041  0.5040
O  0.5535  0.6959  0.0040
O  0.5853  0.8677  0.4914
O  0.6543  0.2999  0.2843
O  0.6621  0.2834  0.7114
O  0.8379  0.7834  0.2114
O  0.8457  0.7999  0.7843
O  0.9147  0.3677  0.9914
O  0.9465  0.1959  0.5040

Main lines, sorted by position (2θ = 10–90°):
| Position (°2θ) | d (Å) | I_rel |
| --- | --- | --- |
| 21.3 | 4.166 | 94.1 |
| 22.2 | 3.999 | 93.3 |
| 32.5 | 2.756 | 100.0 |
| 34.9 | 2.570 | 57.4 |
| 58.0 | 1.591 | 52.7 |
| 69.5 | 1.353 | 32.0 |

***

# 4
For LiCrFeO4, a DFT-relaxed cell (PBE+U, the Materials Project) gives the simulated powder diffractogram in this record (λ = 1.5418 Å (Cu Kα)).
Peak positions follow from Bragg's law for the DFT cell and can differ from measured ones.

Crystal structure
Cell lengths 5.8777, 5.8777, 8.3803 Å; angles 90.00, 90.00, 90.00 degrees
Sites, in units of the cell vectors:
Li  0.0000  0.2315  0.0000
Li  0.0000  0.7685  0.5000
Li  0.2315  0.0000  0.2500
Li  0.7685  0.0000  0.7500
Cr  0.2351  0.5000  0.2500
Cr  0.5000  0.2351  0.0000
Cr  0.5000  0.7649  0.5000
Cr  0.7649  0.5000  0.7500
Fe  0.2559  0.2559  0.6250
Fe  0.2559  0.7441  0.8750
Fe  0.7441  0.2559  0.3750
Fe  0.7441  0.7441  0.1250
O  0.0163  0.2681  0.2567
O  0.0163  0.7319  0.2433
O  0.2665  0.4810  0.0125
O  0.2665  0.5190  0.4875
O  0.2681  0.0163  0.9933
O  0.2681  0.9837  0.5067
O  0.4810  0.2665  0.2375
O  0.4810  0.7335  0.2625
O  0.5190  0.2665  0.7625
O  0.5190  0.7335  0.7375
O  0.7319  0.0163  0.0067
O  0.7319  0.9837  0.4933
O  0.7335  0.4810  0.9875
O  0.7335  0.5190  0.5125
O  0.9837  0.2681  0.7433
O  0.9837  0.7319  0.7567

Main lines, sorted by position (2θ = 10–90°):
| Position (°2θ) | d (Å) | I_rel |
| --- | --- | --- |
| 15.1 | 5.878 | 36.5 |
| 23.9 | 3.723 | 41.2 |
| 30.3 | 2.951 | 60.5 |
| 35.6 | 2.523 | 58.4 |
| 35.8 | 2.508 | 100.0 |
| 63.0 | 1.475 | 50.3 |

***

# 5
For Ba5Cr5O14, a DFT-relaxed cell (PBE+U, the Materials Project) gives the simulated powder diffractogram in this record (λ = 1.5418 Å (Cu Kα)).
Peak positions follow from Bragg's law for the DFT cell and can differ from measured ones.

Crystal structure
Cell lengths 5.8390, 5.8390, 12.2402 Å; angles 90.21, 90.21, 59.82 degrees
Sites, in units of the cell vectors:
Ba  0.0000  0.0000  0.0000
Ba  0.3330  0.3330  0.2296
Ba  0.3327  0.3327  0.5768
Ba  0.6673  0.6673  0.4232
Ba  0.6670  0.6670  0.7704
Cr  0.0000  0.0000  0.5000
Cr  0.0015  0.0015  0.2888
Cr  0.3333  0.3333  0.8660
Cr  0.6667  0.6667  0.1340
Cr  0.9985  0.9985  0.7112
O  0.1481  0.7034  0.3990
O  0.1513  0.1513  0.3970
O  0.1657  0.1657  0.8079
O  0.1656  0.6691  0.8083
O  0.2966  0.8519  0.6010
O  0.3309  0.8344  0.1917
O  0.3334  0.3334  0.0062
O  0.6666  0.6666  0.9938
O  0.6691  0.1656  0.8083
O  0.7034  0.1481  0.3990
O  0.8344  0.3309  0.1917
O  0.8343  0.8343  0.1921
O  0.8487  0.8487  0.6030
O  0.8519  0.2966  0.6010

Main lines, sorted by position (2θ = 10–90°):
| Position (°2θ) | d (Å) | I_rel |
| --- | --- | --- |
| 22.8 | 3.896 | 14.1 |
| 28.0 | 3.182 | 29.3 |
| 28.2 | 3.170 | 51.5 |
| 30.7 | 2.917 | 100.0 |
| 42.1 | 2.147 | 42.2 |
| 53.0 | 1.727 | 17.1 |

***

# 6
For Li3Co4B4O12, a DFT-relaxed cell (PBE+U, the Materials Project) gives the simulated powder diffractogram in this record (λ = 1.5418 Å (Cu Kα)).
Peak positions follow from Bragg's law for the DFT cell and can differ from measured ones.

Crystal structure
Cell lengths 5.2170, 8.9268, 11.2548 Å; angles 90.00, 115.90, 90.00 degrees
Sites, in units of the cell vectors:
Li  0.0000  0.2454  0.0000
Li  0.0000  0.7546  0.5000
Li  0.0839  0.2531  0.7558
Li  0.0839  0.7469  0.2558
Li  0.5715  0.2546  0.2593
Li  0.5715  0.7454  0.7593
Co  0.0585  0.4164  0.2366
Co  0.0585  0.5836  0.7366
Co  0.4886  0.4235  0.9898
Co  0.4886  0.5765  0.4898
Co  0.5530  0.0870  0.7164
Co  0.5530  0.9130  0.2164
Co  0.9795  0.0935  0.4770
Co  0.9795  0.9065  0.9770
B  0.0538  0.0804  0.2218
B  0.0538  0.9196  0.7218
B  0.4675  0.0828  0.9744
B  0.4675  0.9172  0.4744
B  0.5573  0.4166  0.7287
B  0.5573  0.5834  0.2287
B  0.9766  0.4194  0.4740
B  0.9766  0.5806  0.9740
O  0.1346  0.0577  0.6891
O  0.1346  0.9423  0.1891
O  0.1680  0.2108  0.2017
O  0.1680  0.7892  0.7017
O  0.1927  0.4224  0.4357
O  0.1927  0.5776  0.9357
O  0.3219  0.4162  0.7544
O  0.3219  0.5838  0.2544
O  0.3307  0.2173  0.9600
O  0.3307  0.7827  0.4600
O  0.3664  0.0426  0.5160
O  0.3664  0.9574  0.0160
O  0.6418  0.4452  0.1938
O  0.6418  0.5548  0.6938
O  0.7054  0.0697  0.9482
O  0.7054  0.9303  0.4482
O  0.7097  0.2888  0.7394
O  0.7097  0.7112  0.2394
O  0.8393  0.2818  0.4669
O  0.8393  0.7182  0.9669
O  0.8481  0.0812  0.2722
O  0.8481  0.9188  0.7722
O  0.8832  0.4530  0.0111
O  0.8832  0.5470  0.5111

Main lines, sorted by position (2θ = 10–90°):
| Position (°2θ) | d (Å) | I_rel |
| --- | --- | --- |
| 19.9 | 4.463 | 43.3 |
| 21.8 | 4.079 | 100.0 |
| 26.1 | 3.408 | 37.7 |
| 34.7 | 2.584 | 46.8 |
| 35.5 | 2.531 | 72.2 |
| 40.8 | 2.210 | 32.1 |

***

# 7
For Zn2FeSbO6, a DFT-relaxed cell (PBE+U, the Materials Project) gives the simulated powder diffractogram in this record (λ = 1.5418 Å (Cu Kα)).
Peak positions follow from Bragg's law for the DFT cell and can differ from measured ones.

Crystal structure
Cell lengths 5.2690, 7.7390, 5.3346 Å; angles 90.00, 90.59, 90.00 degrees
Sites, in units of the cell vectors:
Zn  0.0185  0.2500  0.0592
Zn  0.4779  0.7500  0.4811
Zn  0.5221  0.2500  0.5189
Zn  0.9815  0.7500  0.9408
Fe  0.0000  0.0000  0.5000
Fe  0.0000  0.5000  0.5000
Sb  0.5000  0.0000  0.0000
Sb  0.5000  0.5000  0.0000
O  0.1127  0.7500  0.5748
O  0.1808  0.0680  0.8236
O  0.1808  0.4320  0.8236
O  0.3296  0.0688  0.3155
O  0.3296  0.4312  0.3155
O  0.3661  0.7500  0.0771
O  0.6339  0.2500  0.9229
O  0.6704  0.5688  0.6845
O  0.6704  0.9312  0.6845
O  0.8192  0.5680  0.1764
O  0.8192  0.9320  0.1764
O  0.8873  0.2500  0.4252

Main lines, sorted by position (2θ = 10–90°):
| Position (°2θ) | d (Å) | I_rel |
| --- | --- | --- |
| 33.2 | 2.700 | 100.0 |
| 33.4 | 2.685 | 91.3 |
| 33.6 | 2.667 | 43.9 |
| 34.0 | 2.634 | 42.7 |
| 47.0 | 1.935 | 25.6 |
| 60.3 | 1.536 | 23.6 |